1.
# GaBiSe
Theoretical XRD peak list, Cu Kα X-rays. Input: a structure optimized by DFT (PBE).

Atomic structure:
Lattice parameters (Å, degrees): 8.814 8.814 8.814 104.88 104.88 119.10
Fractional coordinates of all 12 atoms:
Ga: 0.000 0.000 0.500
Ga: 0.000 0.500 0.000
Ga: 0.500 0.000 0.000
Ga: 0.500 0.500 0.500
Bi: 0.137 0.637 0.775
Bi: 0.363 0.137 0.500
Bi: 0.637 0.863 0.500
Bi: 0.863 0.363 0.225
Se: 0.138 0.362 0.500
Se: 0.362 0.862 0.224
Se: 0.638 0.138 0.776
Se: 0.862 0.638 0.500

The 12 most intense peaks (10 to 80 degrees two-theta), low angle first:
two_theta  Rel. int.
11.65  100
16.50  46
19.88  47
20.99  63
23.10  43
26.23  54
33.12  60
33.35  23
35.45  40
39.13  91
40.96  29
47.89  24

---

2.
# Li3GdBi2
Theoretical XRD peak list, Cu Kα X-rays. Input: a structure optimized by DFT (PBE).

Atomic structure:
Lattice parameters (Å, degrees): 4.695 4.695 7.367 90.00 90.00 120.00
Fractional coordinates of all 6 atoms:
Li: 0.000 0.000 0.000
Li: 0.333 0.667 0.850
Li: 0.667 0.333 0.150
Gd: 0.000 0.000 0.500
Bi: 0.333 0.667 0.252
Bi: 0.667 0.333 0.748

The 12 most intense peaks (10 to 80 degrees two-theta), low angle first:
two_theta  Rel. int.
12.01  13
25.01  100
32.81  47
38.34  39
43.03  26
46.33  20
51.33  14
58.98  10
61.65  17
64.29  17
65.85  13
72.56  11

---

3.
# GdNiBi
Theoretical XRD peak list, Cu Kα X-rays. Input: a structure optimized by DFT (PBE).

Atomic structure:
Lattice parameters (Å, degrees): 4.618 4.618 4.618 60.00 60.00 60.00
Fractional coordinates of all 3 atoms:
Gd: 0.000 0.000 0.000
Ni: 0.250 0.250 0.250
Bi: 0.500 0.500 0.500

The 10 most intense peaks (10 to 80 degrees two-theta), low angle first:
two_theta  Rel. int.
23.60  9
27.31  61
39.01  100
46.10  5
48.27  18
56.35  17
61.93  2
63.73  24
70.66  35
75.67  2

---

4.
# Gd4Si2Ni2Bi
Theoretical XRD peak list, Cu Kα X-rays. Input: a structure optimized by DFT (PBE).

Atomic structure:
Lattice parameters (Å, degrees): 11.336 4.215 16.842 90.00 90.00 90.00
Fractional coordinates of all 36 atoms:
Gd: 0.047 0.250 0.103
Gd: 0.059 0.250 0.722
Gd: 0.186 0.250 0.531
Gd: 0.197 0.250 0.312
Gd: 0.303 0.750 0.812
Gd: 0.314 0.750 0.031
Gd: 0.441 0.750 0.222
Gd: 0.453 0.750 0.603
Gd: 0.547 0.250 0.397
Gd: 0.559 0.250 0.778
Gd: 0.686 0.250 0.969
Gd: 0.697 0.250 0.188
Gd: 0.803 0.750 0.688
Gd: 0.814 0.750 0.469
Gd: 0.941 0.750 0.278
Gd: 0.953 0.750 0.897
Si: 0.021 0.750 0.592
Si: 0.183 0.750 0.186
Si: 0.317 0.250 0.686
Si: 0.479 0.250 0.092
Si: 0.521 0.750 0.908
Si: 0.683 0.750 0.314
Si: 0.817 0.250 0.814
Si: 0.979 0.250 0.408
Ni: 0.063 0.750 0.440
Ni: 0.211 0.750 0.654
Ni: 0.289 0.250 0.154
Ni: 0.437 0.250 0.940
Ni: 0.563 0.750 0.060
Ni: 0.711 0.750 0.846
Ni: 0.789 0.250 0.346
Ni: 0.937 0.250 0.560
Bi: 0.163 0.250 0.922
Bi: 0.337 0.750 0.422
Bi: 0.663 0.250 0.578
Bi: 0.837 0.750 0.078

The 12 most intense peaks (10 to 80 degrees two-theta), low angle first:
two_theta  Rel. int.
26.35  94
27.63  49
30.87  100
33.58  63
34.07  62
35.01  86
35.48  80
35.70  28
39.79  30
42.91  62
54.43  23
56.86  41

---

5.
# Gd3Bi2O8
Theoretical XRD peak list, Cu Kα X-rays. Input: a structure optimized by DFT (PBE).

Atomic structure:
Lattice parameters (Å, degrees): 6.858 6.858 9.635 118.72 118.72 32.15
Fractional coordinates of all 13 atoms:
Gd: 0.000 0.000 0.000
Gd: 0.170 0.170 0.755
Gd: 0.556 0.556 0.377
Bi: 0.381 0.381 0.617
Bi: 0.777 0.777 0.184
O: 0.176 0.176 0.506
O: 0.189 0.189 0.011
O: 0.362 0.362 0.353
O: 0.373 0.373 0.863
O: 0.588 0.588 0.643
O: 0.601 0.601 0.166
O: 0.954 0.954 0.205
O: 0.973 0.973 0.736

The 12 most intense peaks (10 to 80 degrees two-theta), low angle first:
two_theta  Rel. int.
27.52  52
27.78  48
28.49  100
32.30  23
32.64  49
45.74  14
46.41  30
46.75  28
47.90  17
54.61  19
56.14  15
56.28  14

---

6.
# GdBiPt
Theoretical XRD peak list, Cu Kα X-rays. Input: a structure optimized by DFT (PBE).

Atomic structure:
Lattice parameters (Å, degrees): 4.804 4.804 4.804 60.00 60.00 60.00
Fractional coordinates of all 3 atoms:
Gd: 0.000 0.000 0.000
Bi: 0.500 0.500 0.500
Pt: 0.250 0.250 0.250

The 11 most intense peaks (10 to 80 degrees two-theta), low angle first:
two_theta  Rel. int.
22.67  30
26.24  12
37.44  100
44.22  16
46.29  4
53.99  18
59.29  7
60.99  5
67.55  36
72.26  5
79.87  12

---

7.
# GeBi3
Theoretical XRD peak list, Cu Kα X-rays. Input: a structure optimized by DFT (PBE).

Atomic structure:
Lattice parameters (Å, degrees): 5.469 5.469 5.469 60.00 60.00 60.00
Fractional coordinates of all 4 atoms:
Ge: 0.000 0.000 0.000
Bi: 0.250 0.250 0.250
Bi: 0.500 0.500 0.500
Bi: 0.750 0.750 0.750

The 12 most intense peaks (10 to 80 degrees two-theta), low angle first:
two_theta  Rel. int.
19.88  8
23.00  4
32.75  100
38.61  5
47.00  19
51.51  2
52.95  2
58.46  39
62.39  2
68.65  12
72.28  2
78.17  18

---

8.
# KGeBiS4
Theoretical XRD peak list, Cu Kα X-rays. Input: a structure optimized by DFT (PBE).

Atomic structure:
Lattice parameters (Å, degrees): 6.651 6.807 17.385 90.00 108.04 90.00
Fractional coordinates of all 28 atoms:
K: 0.219 0.241 0.464
K: 0.219 0.259 0.964
K: 0.781 0.741 0.036
K: 0.781 0.759 0.536
Ge: 0.294 0.740 0.844
Ge: 0.294 0.760 0.344
Ge: 0.706 0.240 0.656
Ge: 0.706 0.260 0.156
Bi: 0.260 0.205 0.218
Bi: 0.260 0.295 0.718
Bi: 0.740 0.705 0.282
Bi: 0.740 0.795 0.782
S: 0.084 0.679 0.717
S: 0.084 0.746 0.422
S: 0.084 0.754 0.922
S: 0.084 0.821 0.217
S: 0.475 0.504 0.132
S: 0.475 0.996 0.632
S: 0.499 0.005 0.860
S: 0.499 0.495 0.360
S: 0.501 0.505 0.640
S: 0.501 0.995 0.140
S: 0.525 0.004 0.368
S: 0.525 0.496 0.868
S: 0.916 0.179 0.783
S: 0.916 0.246 0.078
S: 0.916 0.254 0.578
S: 0.916 0.321 0.283

The 12 most intense peaks (10 to 80 degrees two-theta), low angle first:
two_theta  Rel. int.
10.70  100
16.87  38
19.16  23
25.21  21
25.42  15
26.18  25
29.25  14
29.79  18
32.13  29
32.62  30
38.87  22
41.57  16